# 1
Diffraction record for Rb2Os5. The PXRD pattern is computed, not measured: it uses a cell relaxed with PBE and CuKα.
Peak positions follow from Bragg's law for the DFT cell and can differ from measured ones.

Structure:
Lattice parameters (Å, degrees): 4.4033 4.4033 32.2308 90.00 90.00 120.00
Space group R3m (No. 160, hexagonal axes)
Asymmetric unit:
Rb: 0.0000 0.0000 0.0000
Rb: 0.0000 0.0000 0.4205
Os: 0.0000 0.0000 0.1815
Os: 0.0000 0.0000 0.2546
Os: 0.0000 0.0000 0.5203
Os: 0.0000 0.0000 0.5926
Os: 0.0000 0.0000 0.8281

Main lines, by angle (2θ from 15° to 90°):
(0 1 5), 3.282 Å, 2θ = 27.2°, rel. 50; (0 0 12), 2.686 Å, 2θ = 33.4°, rel. 38; (1 1 0), 2.202 Å, 2θ = 41.0°, rel. 100; (1 1 3), 2.157 Å, 2θ = 41.9°, rel. 49; (1 1 9), 1.876 Å, 2θ = 48.5°, rel. 18; (1 1 12), 1.703 Å, 2θ = 53.8°, rel. 60; (0 1 17), 1.698 Å, 2θ = 54.0°, rel. 20; (3 0 0), 1.271 Å, 2θ = 74.7°, rel. 17

# 2
Diffraction record for RbLaTaC4N8. The PXRD pattern is computed, not measured: it uses a cell relaxed with PBE and CuKα.
Peak positions follow from Bragg's law for the DFT cell and can differ from measured ones.

Structure:
Lattice parameters (Å, degrees): 8.628 8.628 6.609 90.00 90.00 90.00
Space group I-4 (No. 82)
Asymmetric unit:
Rb: 0.000 0.000 0.000
La: 0.000 0.500 0.750
Ta: 0.000 0.500 0.250
C: 0.214 0.260 0.400
N: 0.104 0.662 0.086
N: 0.131 0.734 0.606

Main lines, by angle (2θ from 15° to 90°):
(1 0 1), 5.247 Å, 2θ = 16.9°, rel. 22; (2 0 0), 4.314 Å, 2θ = 20.6°, rel. 82; (2 2 0), 3.050 Å, 2θ = 29.3°, rel. 67; (1 1 2), 2.906 Å, 2θ = 30.8°, rel. 100; (2 0 2), 2.623 Å, 2θ = 34.2°, rel. 30; (3 1 2), 2.104 Å, 2θ = 43.0°, rel. 85; (2 4 0), 1.929 Å, 2θ = 47.1°, rel. 31; (5 1 2), 1.506 Å, 2θ = 61.6°, rel. 27